# Pr3CdCu2Hg2Pd
Computed PXRD pattern, Cu Kα X-rays. Input: a crystal structure in OQMD, relaxed with PBE.
Neutral-atom scattering factors, no anomalous dispersion.

Principal peaks in the range 10° ≤ 2θ ≤ 90°, in order of rising 2θ:
| index | Position (°2θ) | I/Imax |
| --- | --- | --- |
| 0 1 1 | 13.12 | 211 |
| 1 3 1 | 31.98 | 1000 |
| 1 0 2 | 32.10 | 654 |
| 1 4 0 | 34.63 | 497 |
| 1 2 2 | 34.78 | 499 |
| 0 4 2 | 35.08 | 334 |
| 0 3 3 | 40.09 | 384 |
| 2 0 0 | 45.31 | 325 |
| 2 4 2 | 58.54 | 244 |
| 2 3 3 | 62.08 | 209 |

Structure:
```
data_Pr3CdCu2Hg2Pd
_chemical_formula_sum 'Pr6 Cd2 Cu4 Hg4 Pd2'
_cell_length_a 4.0028
_cell_length_b 13.5869
_cell_length_c 7.7740
_cell_angle_alpha 90.00
_cell_angle_beta 90.00
_cell_angle_gamma 90.00
_space_group_name_H-M_alt 'A m m 2'
_space_group_IT_number 38
_space_group_name_Hall 'A 2 -2'
loop_
_atom_site_label
_atom_site_fract_x
_atom_site_fract_y
_atom_site_fract_z
Pr1 0.0000 0.0000 0.0000
Pr2 0.0000 0.2029 0.5941
Cd1 0.5000 0.0000 0.6564
Cu1 0.5000 0.1633 0.8916
Hg1 0.5000 0.1339 0.2645
Pd1 0.0000 0.0000 0.3996
```



# Cd2InCu3
Computed PXRD pattern, Cu Kα X-rays. Input: a crystal structure in OQMD, relaxed with PBE.
Neutral-atom scattering factors, no anomalous dispersion.

Principal peaks in the range 10° ≤ 2θ ≤ 90°, in order of rising 2θ:
| index | Position (°2θ) | I/Imax |
| --- | --- | --- |
| 2 1 0 | 27.15 | 62 |
| 2 2 0 | 34.54 | 393 |
| 3 1 1 | 40.75 | 1000 |
| 2 2 2 | 42.65 | 291 |
| 4 2 2 | 61.90 | 131 |
| 5 1 1 | 66.11 | 277 |
| 4 4 0 | 72.86 | 226 |
| 6 2 0 | 83.20 | 54 |
| 5 3 3 | 87.00 | 96 |
| 6 2 2 | 88.26 | 92 |

Structure:
```
data_Cd2InCu3
_chemical_formula_sum 'Cd8 In4 Cu12'
_cell_length_a 7.3439
_cell_length_b 7.3439
_cell_length_c 7.3439
_cell_angle_alpha 90.00
_cell_angle_beta 90.00
_cell_angle_gamma 90.00
_space_group_name_H-M_alt 'P 41 3 2'
_space_group_IT_number 213
_space_group_name_Hall 'P 4bd 2ab 3'
loop_
_atom_site_label
_atom_site_fract_x
_atom_site_fract_y
_atom_site_fract_z
Cd1 0.0092 0.0092 0.0092
In1 0.1250 0.6250 0.8750
Cu1 0.1142 0.3642 0.1250
```



# Li2Cd2In2CuNi
Computed PXRD pattern, Cu Kα X-rays. Input: a crystal structure in OQMD, relaxed with PBE.
Neutral-atom scattering factors, no anomalous dispersion.

Principal peaks in the range 10° ≤ 2θ ≤ 90°, in order of rising 2θ:
| index | Position (°2θ) | I/Imax |
| --- | --- | --- |
| 1 0 1 | 24.10 | 107 |
| 0 0 2 | 27.81 | 120 |
| 1 1 0 | 27.94 | 240 |
| 2 0 0 | 39.87 | 1000 |
| 2 0 2 | 49.36 | 97 |
| 2 2 0 | 57.75 | 108 |
| 3 1 0 | 65.32 | 82 |
| 2 0 4 | 72.26 | 105 |
| 3 1 2 | 72.45 | 211 |
| 2 2 4 | 85.90 | 67 |

Structure:
```
data_Li2Cd2In2CuNi
_chemical_formula_sum 'Li2 Cd2 In2 Cu1 Ni1'
_cell_length_a 4.5156
_cell_length_b 4.5156
_cell_length_c 6.4153
_cell_angle_alpha 90.00
_cell_angle_beta 90.00
_cell_angle_gamma 90.00
_space_group_name_H-M_alt 'P -4 m 2'
_space_group_IT_number 115
_space_group_name_Hall 'P -4 -2'
loop_
_atom_site_label
_atom_site_fract_x
_atom_site_fract_y
_atom_site_fract_z
Li1 0.0000 0.0000 0.0000
Li2 0.5000 0.5000 0.5000
Cd1 0.0000 0.5000 0.2450
In1 0.0000 0.5000 0.7578
Cu1 0.0000 0.0000 0.5000
Ni1 0.5000 0.5000 0.0000
```